1.
This entry pairs a crystal structure of Dy3Er3Hg2 with its theoretical X-ray powder pattern. Radiation: λ = 1.5418 Å (Cu Kα). Structure: a crystal structure in Alexandria, relaxed with PBE.
Neutral-atom scattering factors, no anomalous dispersion.

Peak list (10 most intense, 5° ≤ 2θ ≤ 70°, low angle first)
d/Å, 2θ/deg, Rel. int.
3.087, 28.93, 19
3.012, 29.66, 87
2.855, 31.33, 35
2.660, 33.69, 100
2.613, 34.33, 51
2.557, 35.09, 63
2.337, 38.53, 22
2.204, 40.95, 22
1.905, 47.75, 22
1.496, 62.06, 17

Cell and atoms:
Cell: 6.344 6.344 15.743 Å, 90.00 90.00 132.46°
Fractional coordinates of all 16 atoms:
Dy: 0.041 0.959 0.607
Dy: 0.041 0.959 0.893
Dy: 0.281 0.719 0.750
Dy: 0.719 0.281 0.250
Dy: 0.959 0.041 0.107
Dy: 0.959 0.041 0.393
Er: 0.357 0.643 0.533
Er: 0.357 0.643 0.967
Er: 0.430 0.570 0.250
Er: 0.570 0.430 0.750
Er: 0.643 0.357 0.033
Er: 0.643 0.357 0.467
Hg: 0.228 0.772 0.128
Hg: 0.228 0.772 0.372
Hg: 0.772 0.228 0.628
Hg: 0.772 0.228 0.872



2.
This entry pairs a crystal structure of Pm4Dy5Tl with its theoretical X-ray powder pattern. Radiation: λ = 1.5418 Å (Cu Kα). Structure: a crystal structure in Alexandria, relaxed with PBE.
Neutral-atom scattering factors, no anomalous dispersion.

Peak list (10 most intense, 5° ≤ 2θ ≤ 70°, low angle first)
d/Å, 2θ/deg, Rel. int.
2.906, 30.77, 100
2.880, 31.05, 95
2.535, 35.41, 67
2.450, 36.68, 31
1.805, 50.58, 13
1.762, 51.90, 45
1.529, 60.54, 29
1.518, 61.04, 26
1.488, 62.41, 13
1.485, 62.57, 13

Cell and atoms:
Cell: 3.609 4.900 17.803 Å, 90.00 90.00 90.00°
Fractional coordinates of all 10 atoms:
Pm: 0.000 0.000 0.103
Pm: 0.000 0.000 0.302
Pm: 0.000 0.000 0.698
Pm: 0.000 0.000 0.897
Dy: 0.500 0.500 0.000
Dy: 0.500 0.500 0.207
Dy: 0.500 0.500 0.409
Dy: 0.500 0.500 0.591
Dy: 0.500 0.500 0.793
Tl: 0.000 0.000 0.500



3.
This entry pairs a crystal structure of YHf2Ga9 with its theoretical X-ray powder pattern. Radiation: λ = 1.5418 Å (Cu Kα). Structure: a crystal structure in Alexandria, relaxed with PBE.
Neutral-atom scattering factors, no anomalous dispersion.

Peak list (10 most intense, 5° ≤ 2θ ≤ 70°, low angle first)
d/Å, 2θ/deg, Rel. int.
12.415, 7.12, 11
4.179, 21.26, 9
4.138, 21.47, 4
2.955, 30.25, 4
2.941, 30.40, 7
2.405, 37.39, 100
2.090, 43.30, 33
2.069, 43.75, 15
1.478, 62.90, 11
1.470, 63.25, 20

Cell and atoms:
Cell: 4.179 4.179 12.415 Å, 90.00 90.00 90.00°
Fractional coordinates of all 12 atoms:
Y: 0.000 0.000 0.000
Hf: 0.000 0.000 0.339
Hf: 0.000 0.000 0.661
Ga: 0.000 0.500 0.176
Ga: 0.000 0.500 0.500
Ga: 0.000 0.500 0.824
Ga: 0.500 0.000 0.176
Ga: 0.500 0.000 0.500
Ga: 0.500 0.000 0.824
Ga: 0.500 0.500 0.000
Ga: 0.500 0.500 0.336
Ga: 0.500 0.500 0.664



4.
This entry pairs a crystal structure of KSn2F11 with its theoretical X-ray powder pattern. Radiation: λ = 1.5418 Å (Cu Kα). Structure: a crystal structure in Alexandria, relaxed with PBE.
Neutral-atom scattering factors, no anomalous dispersion.

Peak list (10 most intense, 5° ≤ 2θ ≤ 70°, low angle first)
d/Å, 2θ/deg, Rel. int.
6.174, 14.35, 100
5.197, 17.06, 22
4.426, 20.06, 43
4.112, 21.61, 44
3.976, 22.36, 49
3.580, 24.87, 84
2.215, 40.74, 31
2.119, 42.68, 24
2.002, 45.29, 24
1.746, 52.39, 22

Cell and atoms:
Cell: 9.011 9.011 9.011 Å, 127.17 109.56 93.50°
Fractional coordinates of all 28 atoms:
K: 0.250 0.250 0.000
K: 0.750 0.750 0.000
Sn: 0.186 0.637 0.823
Sn: 0.314 0.137 0.451
Sn: 0.686 0.863 0.549
Sn: 0.814 0.363 0.177
F: 0.000 0.500 0.500
F: 0.037 0.378 0.181
F: 0.068 0.988 0.297
F: 0.190 0.488 0.920
F: 0.197 0.856 0.819
F: 0.217 0.378 0.595
F: 0.283 0.878 0.161
F: 0.303 0.122 0.659
F: 0.310 0.230 0.297
F: 0.432 0.730 0.920
F: 0.463 0.644 0.341
F: 0.500 0.000 0.500
F: 0.537 0.356 0.659
F: 0.568 0.270 0.080
F: 0.690 0.770 0.703
F: 0.697 0.878 0.341
F: 0.717 0.122 0.839
F: 0.783 0.622 0.405
F: 0.803 0.144 0.181
F: 0.810 0.512 0.080
F: 0.932 0.012 0.703
F: 0.963 0.622 0.819



5.
This entry pairs a crystal structure of Pr2Cd3Au3 with its theoretical X-ray powder pattern. Radiation: λ = 1.5418 Å (Cu Kα). Structure: a crystal structure in Alexandria, relaxed with PBE.
Neutral-atom scattering factors, no anomalous dispersion.

Peak list (10 most intense, 5° ≤ 2θ ≤ 70°, low angle first)
d/Å, 2θ/deg, Rel. int.
4.356, 20.39, 3
3.603, 24.71, 6
2.758, 32.46, 2
2.555, 35.13, 100
2.540, 35.33, 94
1.874, 48.57, 5
1.801, 50.68, 34
1.475, 63.02, 18
1.472, 63.16, 34
1.464, 63.55, 15

Cell and atoms:
Cell: 8.784 8.784 8.784 Å, 33.81 33.81 33.81°
Fractional coordinates of all 8 atoms:
Pr: 0.000 0.000 0.000
Pr: 0.490 0.490 0.490
Cd: 0.243 0.243 0.243
Cd: 0.618 0.618 0.618
Cd: 0.747 0.747 0.747
Au: 0.124 0.124 0.124
Au: 0.364 0.364 0.364
Au: 0.874 0.874 0.874



6.
This entry pairs a crystal structure of BaNaSrGa with its theoretical X-ray powder pattern. Radiation: λ = 1.5418 Å (Cu Kα). Structure: a crystal structure in Alexandria, relaxed with PBE.
Neutral-atom scattering factors, no anomalous dispersion.

Peak list (10 most intense, 5° ≤ 2θ ≤ 70°, low angle first)
d/Å, 2θ/deg, Rel. int.
9.638, 9.18, 74
4.054, 21.93, 20
3.102, 28.78, 100
2.866, 31.20, 56
2.748, 32.59, 16
2.518, 35.66, 42
2.027, 44.71, 20
1.697, 54.04, 33
1.600, 57.63, 13
1.579, 58.45, 20

Cell and atoms:
Cell: 4.054 4.054 9.638 Å, 90.00 90.00 90.00°
Fractional coordinates of all 4 atoms:
Ba: 0.000 0.000 0.000
Na: 0.500 0.500 0.317
Sr: 0.000 0.000 0.608
Ga: 0.500 0.500 0.789



7.
This entry pairs a crystal structure of Zr3Zn3Cd with its theoretical X-ray powder pattern. Radiation: λ = 1.5418 Å (Cu Kα). Structure: a crystal structure in Alexandria, relaxed with PBE.
Neutral-atom scattering factors, no anomalous dispersion.

Peak list (10 most intense, 5° ≤ 2θ ≤ 70°, low angle first)
d/Å, 2θ/deg, Rel. int.
3.258, 27.38, 11
3.240, 27.53, 6
2.901, 30.82, 6
2.829, 31.63, 7
2.397, 37.52, 30
2.297, 39.22, 100
2.220, 40.64, 20
1.629, 56.50, 15
1.620, 56.82, 10
1.364, 68.84, 18

Cell and atoms:
Cell: 6.534 6.534 6.480 Å, 90.00 90.00 94.38°
Fractional coordinates of all 14 atoms:
Zr: 0.215 0.215 0.500
Zr: 0.230 0.230 0.000
Zr: 0.244 0.756 0.000
Zr: 0.756 0.244 0.000
Zr: 0.770 0.770 0.000
Zr: 0.785 0.785 0.500
Zn: 0.000 0.500 0.259
Zn: 0.000 0.500 0.741
Zn: 0.500 0.000 0.259
Zn: 0.500 0.000 0.741
Zn: 0.500 0.500 0.257
Zn: 0.500 0.500 0.743
Cd: 0.252 0.748 0.500
Cd: 0.748 0.252 0.500



8.
This entry pairs a crystal structure of Hf3TiZn7 with its theoretical X-ray powder pattern. Radiation: λ = 1.5418 Å (Cu Kα). Structure: a crystal structure in Alexandria, relaxed with PBE.
Neutral-atom scattering factors, no anomalous dispersion.

Peak list (10 most intense, 5° ≤ 2θ ≤ 70°, low angle first)
d/Å, 2θ/deg, Rel. int.
3.876, 22.95, 30
2.550, 35.19, 47
2.524, 35.57, 36
2.472, 36.34, 100
2.391, 37.62, 57
2.334, 38.57, 21
2.232, 40.41, 49
2.036, 44.50, 28
2.002, 45.29, 21
1.842, 49.49, 36

Cell and atoms:
Cell: 9.684 9.684 13.229 Å, 90.00 90.00 162.05°
Fractional coordinates of all 22 atoms:
Hf: 0.116 0.884 0.545
Hf: 0.116 0.884 0.955
Hf: 0.255 0.745 0.250
Hf: 0.745 0.255 0.750
Hf: 0.884 0.116 0.045
Hf: 0.884 0.116 0.455
Ti: 0.028 0.972 0.250
Ti: 0.972 0.028 0.750
Zn: 0.262 0.738 0.572
Zn: 0.262 0.738 0.928
Zn: 0.371 0.629 0.656
Zn: 0.371 0.629 0.844
Zn: 0.404 0.596 0.250
Zn: 0.493 0.507 0.589
Zn: 0.493 0.507 0.911
Zn: 0.507 0.493 0.089
Zn: 0.507 0.493 0.411
Zn: 0.596 0.404 0.750
Zn: 0.629 0.371 0.156
Zn: 0.629 0.371 0.344
Zn: 0.738 0.262 0.072
Zn: 0.738 0.262 0.428



9.
This entry pairs a crystal structure of NbV6Ga with its theoretical X-ray powder pattern. Radiation: λ = 1.5418 Å (Cu Kα). Structure: a crystal structure in Alexandria, relaxed with PBE.
Neutral-atom scattering factors, no anomalous dispersion.

Peak list (10 most intense, 5° ≤ 2θ ≤ 70°, low angle first)
d/Å, 2θ/deg, Rel. int.
4.436, 20.02, 13
2.450, 36.67, 45
2.218, 40.68, 100
2.190, 41.23, 48
2.145, 42.13, 45
1.941, 46.81, 22
1.922, 47.30, 21
1.644, 55.92, 25
1.532, 60.42, 10
1.452, 64.13, 8

Cell and atoms:
Cell: 5.416 8.759 5.181 Å, 90.00 108.25 90.00°
Fractional coordinates of all 16 atoms:
Nb: 0.000 0.000 0.000
Nb: 0.500 0.500 0.000
V: 0.007 0.500 0.244
V: 0.247 0.252 0.246
V: 0.247 0.748 0.246
V: 0.253 0.248 0.754
V: 0.253 0.752 0.754
V: 0.493 0.000 0.756
V: 0.507 0.000 0.244
V: 0.747 0.248 0.246
V: 0.747 0.752 0.246
V: 0.753 0.252 0.754
V: 0.753 0.748 0.754
V: 0.993 0.500 0.756
Ga: 0.000 0.000 0.500
Ga: 0.500 0.500 0.500